Diffraction record for BaAgO2. The X-ray diffraction stick pattern is computed, not measured: it uses a DFT-relaxed cell (GGA-PBE, the Materials Project) and copper Kα.
Lines closer than 0.1° are merged.

Top 10 peaks for 2θ = 10–90°, low angle first:
- 2θ = 29.14°, I 45.5
- 2θ = 31.62°, I 100.0
- 2θ = 41.67°, I 29.5
- 2θ = 48.75°, I 9.1
- 2θ = 53.24°, I 44.2
- 2θ = 57.81°, I 13.5
- 2θ = 60.40°, I 9.2
- 2θ = 66.03°, I 14.0
- 2θ = 69.79°, I 9.7
- 2θ = 84.70°, I 11.7

Atomic structure:
```
data_BaAgO2
_chemical_formula_sum 'Ba1 Ag1 O2'
_cell_length_a 4.3345
_cell_length_b 4.3345
_cell_length_c 3.7359
_cell_angle_alpha 90.00
_cell_angle_beta 90.00
_cell_angle_gamma 90.00
_space_group_name_H-M_alt 'P 4/m m m'
_space_group_IT_number 123
_space_group_name_Hall '-P 4 2'
loop_
_atom_site_label
_atom_site_type_symbol
_atom_site_fract_x
_atom_site_fract_y
_atom_site_fract_z
Ba1 Ba 0.0000 0.0000 0.0000
Ag1 Ag 0.5000 0.5000 0.5000
O1 O 0.0000 0.5000 0.5000
```